For Sr3Hg2, a structure optimized by DFT (PBE) gives the simulated PXRD pattern in this record (Cu Ka).

Main lines, in order of rising 2θ (15° ≤ 2θ ≤ 90°):
19.48°, I = 18; 21.91°, I = 15; 29.47°, I = 100; 31.18°, I = 38; 37.02°, I = 13; 39.54°, I = 13; 39.74°, I = 10; 51.19°, I = 19; 58.40°, I = 22; 65.61°, I = 10

Structure:
a b c (Å): 9.0720 9.0720 4.5585
angles (deg): 90.00 90.00 90.00
Space group P4/mbm (No. 127)
Symmetry-distinct sites (fractional):
Sr: 0.0000 0.0000 0.0000 x2
Sr: 0.1543 0.3457 0.5000 x4
Hg: 0.1428 0.6428 0.0000 x4